Diffraction record for TaSnH. The powder diffraction line list is theoretical, not measured: it uses a DFT-relaxed cell (PBE, Alexandria) and copper Kα.

Top 8 peaks for 10 to 90 degrees two-theta, in order of rising 2θ:
two_theta	intensity
12.24	100.0
35.07	46.6
35.36	35.3
36.13	30.5
37.32	61.2
39.47	45.3
41.47	44.3
41.64	38.1

Cell and atoms:
Lattice parameters (Å, degrees): 14.4608 14.4608 7.7777 90.00 90.00 90.00
Space group I4_1/a (No. 88, origin choice 2)
Symmetry-distinct sites (fractional):
1 Ta 0.1501 0.0294 0.1764 x16
2 Ta 0.1624 0.4397 0.4570 x16
3 Sn 0.0047 0.0805 0.6340 x16
4 Sn 0.0111 0.3943 0.0124 x16
5 H 0.1318 0.4659 0.2157 x16
6 H 0.1524 0.0576 0.4229 x16